Entry 1:
Calculated powder diffractogram of KTm3Se4O12 for CuKα, from the PBE geometry in Alexandria.

Principal peaks in the range 10° ≤ 2θ ≤ 80°, low angle first:
| 2θ (°) | I_rel |
| --- | --- |
| 14.58 | 51.2 |
| 24.85 | 65.5 |
| 27.46 | 100.0 |
| 29.40 | 25.0 |
| 32.54 | 59.5 |
| 35.82 | 30.6 |
| 37.75 | 27.3 |
| 49.47 | 21.9 |
| 51.86 | 24.9 |
| 54.45 | 33.6 |

Structure:
Cell: 12.1510 12.1510 8.2558 Å, 90.00 90.00 120.00°
Space group R32 (No. 155, hexagonal axes)
Symmetry-distinct sites (fractional):
K1 0.0000 0.0000 0.0000
Tm1 0.0000 0.5663 0.0000
Se1 0.0000 0.0000 0.5000
Se2 0.0000 0.4347 0.5000
O1 0.0000 0.6159 0.5000
O2 0.0000 0.8425 0.5000
O3 0.0505 0.2505 0.1734


Entry 2:
Calculated powder diffractogram of La5Pm2PrY for CuKα, from the PBE geometry in Alexandria.

Principal peaks in the range 10° ≤ 2θ ≤ 80°, low angle first:
| 2θ (°) | I_rel |
| --- | --- |
| 27.30 | 54.5 |
| 27.82 | 58.2 |
| 30.39 | 100.0 |
| 30.59 | 21.8 |
| 35.52 | 24.5 |
| 36.61 | 13.9 |
| 40.69 | 15.3 |
| 50.22 | 19.7 |
| 55.83 | 11.9 |
| 56.20 | 13.0 |

Structure:
Cell: 9.2405 9.2405 15.2542 Å, 90.00 90.00 90.00°
Space group I4/mcm (No. 140)
Symmetry-distinct sites (fractional):
La1 0.0000 0.0000 0.0000
La2 0.2080 0.2920 0.1374
Pm1 0.1130 0.3870 0.5000
Pr1 0.0000 0.0000 0.2500
Y1 0.0000 0.5000 0.2500


Entry 3:
Calculated powder diffractogram of Ti4V for CuKα, from the PBE geometry in Alexandria.

Principal peaks in the range 10° ≤ 2θ ≤ 80°, low angle first:
| 2θ (°) | I_rel |
| --- | --- |
| 38.19 | 30.7 |
| 39.45 | 24.7 |
| 40.46 | 100.0 |
| 56.07 | 15.9 |
| 60.97 | 6.8 |
| 64.35 | 1.8 |
| 70.56 | 16.3 |
| 72.22 | 11.9 |
| 74.26 | 7.2 |
| 75.08 | 6.1 |

Structure:
Cell: 3.0394 4.7135 22.8438 Å, 90.00 90.00 90.00°
Space group Fmmm (No. 69)
Symmetry-distinct sites (fractional):
Ti1 0.0000 0.0000 0.0914
Ti2 0.0000 0.0000 0.3015
V1 0.0000 0.0000 0.5000


Entry 4:
Calculated powder diffractogram of K2SmTmS4 for CuKα, from the PBE geometry in Alexandria.

Principal peaks in the range 10° ≤ 2θ ≤ 80°, low angle first:
| 2θ (°) | I_rel |
| --- | --- |
| 12.00 | 77.1 |
| 24.14 | 17.1 |
| 25.58 | 26.2 |
| 26.53 | 35.1 |
| 30.05 | 100.0 |
| 38.24 | 19.6 |
| 41.50 | 35.6 |
| 44.50 | 33.7 |
| 46.26 | 17.1 |
| 54.63 | 17.3 |

Structure:
Cell: 7.0538 4.0713 7.7381 Å, 90.00 107.66 90.00°
Space group P2/m (No. 10)
Symmetry-distinct sites (fractional):
K1 0.0000 0.0000 0.0000
K2 0.5000 0.5000 0.0000
Sm1 0.0000 0.5000 0.5000
Tm1 0.5000 0.0000 0.5000
S1 0.2423 0.0000 0.7039
S2 0.2740 0.5000 0.2993


Entry 5:
Calculated powder diffractogram of NaLaDy4Se8 for CuKα, from the PBE geometry in Alexandria.

Principal peaks in the range 10° ≤ 2θ ≤ 80°, low angle first:
| 2θ (°) | I_rel |
| --- | --- |
| 12.46 | 21.3 |
| 12.78 | 30.7 |
| 24.16 | 24.7 |
| 24.49 | 53.5 |
| 24.66 | 28.6 |
| 29.60 | 100.0 |
| 38.45 | 21.9 |
| 38.78 | 24.3 |
| 41.94 | 66.7 |
| 42.75 | 66.0 |

Structure:
Cell: 8.4599 8.4599 21.3058 Å, 90.00 90.00 120.00°
Space group R3m (No. 160, hexagonal axes)
Symmetry-distinct sites (fractional):
Na1 0.0000 0.0000 0.0000
La1 0.0000 0.0000 0.3687
Dy1 0.0000 0.0000 0.7458
Dy2 0.0131 0.5065 0.8740
Se1 0.0000 0.0000 0.1332
Se2 0.0000 0.0000 0.6141
Se3 0.0136 0.5068 0.1285
Se4 0.1773 0.3546 0.9483


Entry 6:
Calculated powder diffractogram of ScZn2Br for CuKα, from the PBE geometry in Alexandria.

Principal peaks in the range 10° ≤ 2θ ≤ 80°, low angle first:
| 2θ (°) | I_rel |
| --- | --- |
| 31.51 | 80.4 |
| 36.59 | 100.0 |
| 40.12 | 54.3 |
| 49.08 | 44.5 |
| 53.40 | 13.2 |
| 64.45 | 22.8 |
| 65.91 | 9.7 |
| 66.50 | 13.1 |
| 68.31 | 10.4 |
| 68.85 | 20.2 |

Structure:
Cell: 3.4315 4.9059 5.0565 Å, 90.00 90.00 90.00°
Space group Pmm2 (No. 25)
Symmetry-distinct sites (fractional):
Sc1 0.0000 0.0000 0.0000
Zn1 0.5000 0.0000 0.5350
Zn2 0.5000 0.5000 0.7456
Br1 0.0000 0.5000 0.2038


Entry 7:
Calculated powder diffractogram of NbTlCl6 for CuKα, from the PBE geometry in Alexandria.

Principal peaks in the range 10° ≤ 2θ ≤ 80°, low angle first:
| 2θ (°) | I_rel |
| --- | --- |
| 13.22 | 100.0 |
| 15.52 | 84.5 |
| 20.92 | 31.3 |
| 22.45 | 36.6 |
| 22.64 | 43.1 |
| 26.61 | 40.0 |
| 27.02 | 29.5 |
| 30.53 | 44.2 |
| 33.39 | 33.1 |
| 41.80 | 31.2 |

Structure:
Cell: 11.3851 8.2846 10.9360 Å, 90.00 90.48 90.00°
Space group C2/c (No. 15)
Symmetry-distinct sites (fractional):
Nb1 0.2500 0.2500 0.0000
Tl1 0.0000 0.0151 0.2500
Cl1 0.0763 0.3395 0.0974
Cl2 0.1624 0.3006 0.8051
Cl3 0.1739 0.0210 0.4978


Entry 8:
Calculated powder diffractogram of Th3Ge3Pt2 for CuKα, from the PBE geometry in Alexandria.

Principal peaks in the range 10° ≤ 2θ ≤ 80°, low angle first:
| 2θ (°) | I_rel |
| --- | --- |
| 24.89 | 16.6 |
| 32.07 | 100.0 |
| 32.54 | 28.4 |
| 32.66 | 32.7 |
| 34.89 | 23.2 |
| 36.64 | 15.0 |
| 39.81 | 52.9 |
| 41.59 | 32.6 |
| 53.86 | 16.3 |
| 64.67 | 15.9 |

Structure:
Cell: 4.3433 10.9662 15.4275 Å, 90.00 90.00 90.00°
Space group Cmcm (No. 63)
Symmetry-distinct sites (fractional):
Th1 0.0000 0.0974 0.2500
Th2 0.0000 0.3701 0.0970
Ge1 0.0000 0.0872 0.0507
Ge2 0.0000 0.1793 0.7500
Pt1 0.0000 0.3359 0.6168


Entry 9:
Calculated powder diffractogram of Pu2Ga5Ru for CuKα, from the PBE geometry in Alexandria.

Principal peaks in the range 10° ≤ 2θ ≤ 80°, low angle first:
| 2θ (°) | I_rel |
| --- | --- |
| 19.10 | 22.3 |
| 28.83 | 9.3 |
| 34.53 | 10.4 |
| 35.90 | 15.7 |
| 38.77 | 25.2 |
| 39.76 | 100.0 |
| 49.64 | 27.0 |
| 64.70 | 22.3 |
| 70.85 | 15.3 |
| 72.83 | 8.6 |

Structure:
Cell: 3.6731 3.6731 18.5818 Å, 90.00 90.00 90.00°
Space group I4/mmm (No. 139)
Symmetry-distinct sites (fractional):
Pu1 0.0000 0.0000 0.2452
Ga1 0.0000 0.0000 0.0000
Ga2 0.0000 0.5000 0.1167
Ru1 0.0000 0.0000 0.5000